(1)
Structure and calculated XRD peak list of Tl6Si7 (a crystal structure in Alexandria, relaxed with PBE; Cu Kα (weighted mean of Kα1 and Kα2)).
Neutral-atom scattering factors, no anomalous dispersion.

```
data_Tl6Si7
_space_group_name_H-M_alt 'R -3 m'
_space_group_IT_number 166
_space_group_name_Hall '-R 3 2"'
_cell_length_a 6.3379
_cell_length_b 6.3379
_cell_length_c 28.2798
_cell_angle_alpha 90.00
_cell_angle_beta 90.00
_cell_angle_gamma 120.00
loop_
_atom_site_label
_atom_site_type_symbol
_atom_site_fract_x
_atom_site_fract_y
_atom_site_fract_z
Tl1 Tl 0.0000 0.0000 0.0579
Tl2 Tl 0.0000 0.0000 0.1724
Tl3 Tl 0.0000 0.0000 0.3164
Si1 Si 0.0000 0.0000 0.5000
Si2 Si 0.0779 0.5389 0.0932
```

Main lines, low angle first (2θ = 5–70°):
| Position (°2θ) | I_rel | (hkl) |
| --- | --- | --- |
| 16.5 | 19 | 1 0 1 |
| 28.2 | 100 | 1 1 0 |
| 30.1 | 71 | 0 1 8 |
| 34.1 | 24 | 1 1 6 |
| 40.4 | 19 | 1 1 9 |
| 41.7 | 27 | 2 0 8 |
| 49.8 | 20 | 3 0 0 |
| 51.0 | 25 | 1 2 8 |
| 58.2 | 16 | 2 2 0 |
| 66.9 | 14 | 3 1 8 |



(2)
Structure and calculated XRD peak list of Tl4SiW (a crystal structure in Alexandria, relaxed with PBE; Cu Kα (weighted mean of Kα1 and Kα2)).
Neutral-atom scattering factors, no anomalous dispersion.

```
data_Tl4SiW
_space_group_name_H-M_alt 'F -4 3 m'
_space_group_IT_number 216
_space_group_name_Hall 'F -4 2 3'
_cell_length_a 8.690
_cell_length_b 8.690
_cell_length_c 8.690
_cell_angle_alpha 90.00
_cell_angle_beta 90.00
_cell_angle_gamma 90.00
loop_
_atom_site_label
_atom_site_type_symbol
_atom_site_fract_x
_atom_site_fract_y
_atom_site_fract_z
Tl1 Tl 0.125 0.125 0.125
Si1 Si 0.000 0.000 0.500
W1 W 0.250 0.250 0.750
```

Main lines, low angle first (2θ = 5–70°):
| Position (°2θ) | I_rel | (hkl) |
| --- | --- | --- |
| 17.7 | 39 | 1 1 1 |
| 20.4 | 6 | 2 0 0 |
| 29.1 | 11 | 2 2 0 |
| 34.2 | 100 | 3 1 1 |
| 35.8 | 63 | 2 2 2 |
| 41.6 | 16 | 4 0 0 |
| 45.5 | 11 | 3 3 1 |
| 54.9 | 35 | 3 3 3 |
| 60.2 | 33 | 4 4 0 |
| 63.3 | 8 | 5 3 1 |



(3)
Structure and calculated XRD peak list of YTlSi (a crystal structure in Alexandria, relaxed with PBE; Cu Kα (weighted mean of Kα1 and Kα2)).
Neutral-atom scattering factors, no anomalous dispersion.

```
data_YTlSi
_space_group_name_H-M_alt 'P 3 m 1'
_space_group_IT_number 156
_space_group_name_Hall 'P 3 -2"'
_cell_length_a 4.2856
_cell_length_b 4.2856
_cell_length_c 4.7073
_cell_angle_alpha 90.00
_cell_angle_beta 90.00
_cell_angle_gamma 120.00
loop_
_atom_site_label
_atom_site_type_symbol
_atom_site_fract_x
_atom_site_fract_y
_atom_site_fract_z
Y1 Y 0.0000 0.0000 0.0000
Tl1 Tl 0.3333 0.6667 0.5698
Si1 Si 0.6667 0.3333 0.3116
```

Main lines, low angle first (2θ = 5–70°):
| Position (°2θ) | I_rel | (hkl) |
| --- | --- | --- |
| 18.9 | 10 | 0 0 1 |
| 24.0 | 30 | 1 0 0 |
| 30.7 | 100 | 1 0 1 |
| 42.2 | 32 | 1 1 0 |
| 45.6 | 23 | 0 1 2 |
| 53.0 | 22 | 0 2 1 |
| 58.2 | 14 | 1 1 2 |
| 63.9 | 8 | 2 0 2 |
| 64.5 | 9 | 1 0 3 |
| 70.0 | 19 | 2 1 1 |



(4)
Structure and calculated XRD peak list of Zr2TlSi (a crystal structure in Alexandria, relaxed with PBE; Cu Kα (weighted mean of Kα1 and Kα2)).
Neutral-atom scattering factors, no anomalous dispersion.

```
data_Zr2TlSi
_space_group_name_H-M_alt 'C 1 2/m 1'
_space_group_IT_number 12
_space_group_name_Hall '-C 2y'
_cell_length_a 9.481
_cell_length_b 3.999
_cell_length_c 4.986
_cell_angle_alpha 90.00
_cell_angle_beta 118.24
_cell_angle_gamma 90.00
loop_
_atom_site_label
_atom_site_type_symbol
_atom_site_fract_x
_atom_site_fract_y
_atom_site_fract_z
Zr1 Zr 0.230 0.000 0.224
Tl1 Tl 0.000 0.000 0.500
Si1 Si 0.000 0.500 0.000
```

Main lines, low angle first (2θ = 5–70°):
| Position (°2θ) | I_rel | (hkl) |
| --- | --- | --- |
| 20.2 | 23 | 0 0 1 |
| 21.3 | 26 | 2 0 -1 |
| 24.7 | 56 | 1 1 0 |
| 35.3 | 100 | 1 1 1 |
| 36.1 | 66 | 2 0 -2 |
| 36.6 | 92 | 3 1 -1 |
| 43.3 | 26 | 4 0 0 |
| 45.4 | 26 | 0 2 0 |
| 59.3 | 31 | 2 2 -2 |
| 63.5 | 21 | 1 1 -3 |



(5)
Structure and calculated XRD peak list of Zr2TlSi (a crystal structure in Alexandria, relaxed with PBE; Cu Kα (weighted mean of Kα1 and Kα2)).
Neutral-atom scattering factors, no anomalous dispersion.

```
data_Zr2TlSi
_space_group_name_H-M_alt 'P 4/m m m'
_space_group_IT_number 123
_space_group_name_Hall '-P 4 2'
_cell_length_a 3.121
_cell_length_b 3.121
_cell_length_c 8.354
_cell_angle_alpha 90.00
_cell_angle_beta 90.00
_cell_angle_gamma 90.00
loop_
_atom_site_label
_atom_site_type_symbol
_atom_site_fract_x
_atom_site_fract_y
_atom_site_fract_z
Zr1 Zr 0.000 0.000 0.217
Tl1 Tl 0.500 0.500 0.500
Si1 Si 0.500 0.500 0.000
```

Main lines, low angle first (2θ = 5–70°):
| Position (°2θ) | I_rel | (hkl) |
| --- | --- | --- |
| 10.6 | 43 | 0 0 1 |
| 30.6 | 42 | 1 0 1 |
| 32.1 | 16 | 0 0 3 |
| 35.9 | 100 | 1 0 2 |
| 40.9 | 38 | 1 1 0 |
| 43.3 | 12 | 0 0 4 |
| 52.9 | 16 | 1 1 3 |
| 59.2 | 13 | 2 0 0 |
| 61.1 | 17 | 1 1 4 |
| 63.1 | 13 | 1 0 5 |



(6)
Structure and calculated XRD peak list of Tm5Si6 (a crystal structure in Alexandria, relaxed with PBE; Cu Kα (weighted mean of Kα1 and Kα2)).
Neutral-atom scattering factors, no anomalous dispersion.

```
data_Tm5Si6
_space_group_name_H-M_alt 'C m m m'
_space_group_IT_number 65
_space_group_name_Hall '-C 2 2'
_cell_length_a 3.808
_cell_length_b 27.825
_cell_length_c 4.166
_cell_angle_alpha 90.00
_cell_angle_beta 90.00
_cell_angle_gamma 90.00
loop_
_atom_site_label
_atom_site_type_symbol
_atom_site_fract_x
_atom_site_fract_y
_atom_site_fract_z
Tm1 Tm 0.000 0.000 0.000
Tm2 Tm 0.000 0.197 0.500
Tm3 Tm 0.000 0.385 0.000
Si1 Si 0.000 0.095 0.500
Si2 Si 0.000 0.279 0.000
Si3 Si 0.000 0.459 0.500
```

Main lines, low angle first (2θ = 5–70°):
| Position (°2θ) | I_rel | (hkl) |
| --- | --- | --- |
| 22.3 | 31 | 0 2 1 |
| 28.4 | 68 | 1 5 0 |
| 32.2 | 27 | 0 10 0 |
| 33.3 | 100 | 1 3 1 |
| 33.6 | 59 | 0 8 1 |
| 43.5 | 35 | 0 0 2 |
| 52.7 | 27 | 1 5 2 |
| 53.8 | 25 | 1 13 1 |
| 55.1 | 20 | 0 10 2 |
| 59.6 | 25 | 2 8 1 |



(7)
Structure and calculated XRD peak list of Tm5Si4 (a crystal structure in Alexandria, relaxed with PBE; Cu Kα (weighted mean of Kα1 and Kα2)).
Neutral-atom scattering factors, no anomalous dispersion.

```
data_Tm5Si4
_space_group_name_H-M_alt 'C 1 2/m 1'
_space_group_IT_number 12
_space_group_name_Hall '-C 2y'
_cell_length_a 10.434
_cell_length_b 4.240
_cell_length_c 9.528
_cell_angle_alpha 90.00
_cell_angle_beta 112.00
_cell_angle_gamma 90.00
loop_
_atom_site_label
_atom_site_type_symbol
_atom_site_fract_x
_atom_site_fract_y
_atom_site_fract_z
Tm1 Tm 0.000 0.000 0.000
Tm2 Tm 0.101 0.000 0.391
Tm3 Tm 0.246 0.000 0.829
Si1 Si 0.046 0.500 0.829
Si2 Si 0.119 0.500 0.608
```

Main lines, low angle first (2θ = 5–70°):
| Position (°2θ) | I_rel | (hkl) |
| --- | --- | --- |
| 22.9 | 53 | 1 1 0 |
| 29.0 | 67 | 2 0 -3 |
| 32.2 | 39 | 2 0 2 |
| 32.9 | 98 | 1 1 2 |
| 33.3 | 100 | 3 1 -1 |
| 34.6 | 38 | 4 0 -1 |
| 35.4 | 46 | 1 1 -3 |
| 42.6 | 40 | 0 2 0 |
| 54.4 | 39 | 5 1 -4 |
| 56.7 | 28 | 6 0 -4 |



(8)
Structure and calculated XRD peak list of Tm5Si (a crystal structure in Alexandria, relaxed with PBE; Cu Kα (weighted mean of Kα1 and Kα2)).
Neutral-atom scattering factors, no anomalous dispersion.

```
data_Tm5Si
_space_group_name_H-M_alt 'C m m m'
_space_group_IT_number 65
_space_group_name_Hall '-C 2 2'
_cell_length_a 4.617
_cell_length_b 14.375
_cell_length_c 4.703
_cell_angle_alpha 90.00
_cell_angle_beta 90.00
_cell_angle_gamma 90.00
loop_
_atom_site_label
_atom_site_type_symbol
_atom_site_fract_x
_atom_site_fract_y
_atom_site_fract_z
Tm1 Tm 0.000 0.000 0.000
Tm2 Tm 0.000 0.156 0.500
Tm3 Tm 0.000 0.335 0.000
Si1 Si 0.000 0.500 0.500
```

Main lines, low angle first (2θ = 5–70°):
| Position (°2θ) | I_rel | (hkl) |
| --- | --- | --- |
| 33.0 | 100 | 1 3 1 |
| 37.5 | 17 | 0 6 0 |
| 38.3 | 17 | 0 0 2 |
| 39.0 | 16 | 2 0 0 |
| 54.7 | 11 | 0 6 2 |
| 55.8 | 11 | 2 0 2 |
| 64.9 | 14 | 1 9 1 |
| 65.9 | 14 | 1 3 3 |
| 66.9 | 13 | 3 3 1 |
| 69.2 | 11 | 2 6 2 |



What did the third record say?
Structure and calculated XRD peak list of YTlSi (a crystal structure in Alexandria, relaxed with PBE; Cu Kα (weighted mean of Kα1 and Kα2)).
Neutral-atom scattering factors, no anomalous dispersion.

```
data_YTlSi
_space_group_name_H-M_alt 'P 3 m 1'
_space_group_IT_number 156
_space_group_name_Hall 'P 3 -2"'
_cell_length_a 4.2856
_cell_length_b 4.2856
_cell_length_c 4.7073
_cell_angle_alpha 90.00
_cell_angle_beta 90.00
_cell_angle_gamma 120.00
loop_
_atom_site_label
_atom_site_type_symbol
_atom_site_fract_x
_atom_site_fract_y
_atom_site_fract_z
Y1 Y 0.0000 0.0000 0.0000
Tl1 Tl 0.3333 0.6667 0.5698
Si1 Si 0.6667 0.3333 0.3116
```

Main lines, low angle first (2θ = 5–70°):
| Position (°2θ) | I_rel | (hkl) |
| --- | --- | --- |
| 18.9 | 10 | 0 0 1 |
| 24.0 | 30 | 1 0 0 |
| 30.7 | 100 | 1 0 1 |
| 42.2 | 32 | 1 1 0 |
| 45.6 | 23 | 0 1 2 |
| 53.0 | 22 | 0 2 1 |
| 58.2 | 14 | 1 1 2 |
| 63.9 | 8 | 2 0 2 |
| 64.5 | 9 | 1 0 3 |
| 70.0 | 19 | 2 1 1 |



Question: Which formula does entry 4 have?
Answer: Zr2TlSi